Calculated powder X-ray diffraction pattern of LaDy12Ho6 for copper Kα, from a DFT-relaxed cell (GGA-PBE, Alexandria).
Kinematic intensities with the Lorentz-polarization factor, no thermal factor.

Peak list (10 most intense, 2θ from 10° to 90°, low angle first)
Position (°2θ)  I/Imax
26.23  89
29.33  99
31.24  100
31.47  30
33.93  29
34.99  88
37.63  42
38.61  32
38.99  69
61.66  32

Structural model:
```
LaDy12Ho6
1.0
7.5211 4.3423 3.3296
-7.5211 4.3423 3.3296
0.0000 -8.6847 3.3296
La Dy Ho
1 12 6
Direct
0.0000 0.0000 0.0000
0.1103 0.5000 0.8897
0.1103 0.8897 0.5000
0.1601 0.3756 0.3756
0.3756 0.1601 0.3756
0.3756 0.3756 0.1601
0.5000 0.1103 0.8897
0.5000 0.8897 0.1103
0.6245 0.6244 0.8399
0.6245 0.8399 0.6245
0.8399 0.6244 0.6244
0.8897 0.1103 0.5000
0.8897 0.5000 0.1103
0.2578 0.6869 0.6869
0.3131 0.3131 0.7422
0.3131 0.7422 0.3131
0.6869 0.2578 0.6869
0.6869 0.6869 0.2578
0.7422 0.3131 0.3131
```

***

Calculated powder X-ray diffraction pattern of La3DyHo6 for copper Kα, from a DFT-relaxed cell (GGA-PBE, Alexandria).
Kinematic intensities with the Lorentz-polarization factor, no thermal factor.

Peak list (10 most intense, 2θ from 10° to 90°, low angle first)
Position (°2θ)  I/Imax
29.23  71
31.22  100
32.50  14
41.68  12
43.29  24
54.33  25
55.56  19
57.39  13
65.11  14
72.93  10

Structural model:
```
La3DyHo6
1.0
4.9626 2.8651 3.8776
-4.9626 2.8651 3.8776
0.0000 -5.7303 3.8776
La Dy Ho
3 1 6
Direct
0.0000 0.0000 0.0000
0.2479 0.2479 0.2479
0.4963 0.4963 0.4963
0.7480 0.7480 0.7480
0.1713 0.8229 0.5034
0.3260 0.6746 0.9941
0.5034 0.1713 0.8229
0.6746 0.9941 0.3260
0.8229 0.5034 0.1713
0.9941 0.3260 0.6746
```

***

Calculated powder X-ray diffraction pattern of LaDy3Ho5 for copper Kα, from a DFT-relaxed cell (GGA-PBE, Alexandria).
Kinematic intensities with the Lorentz-polarization factor, no thermal factor.

Peak list (10 most intense, 2θ from 10° to 90°, low angle first)
Position (°2θ)  I/Imax
28.63  33
29.65  22
30.35  61
31.37  23
32.09  100
38.16  21
42.94  15
54.17  18
55.03  20
58.29  16

Structural model:
```
LaDy3Ho5
1.0
9.5896 -3.0130 0.0000
9.5896 3.0130 0.0000
-4.3406 0.0000 10.2878
La Dy Ho
2 6 10
Direct
0.1431 0.8569 0.7500
0.8569 0.1431 0.2500
0.0000 0.0000 0.0000
0.0000 0.0000 0.5000
0.0483 0.5974 0.6366
0.4026 0.9517 0.8634
0.5974 0.0483 0.1366
0.9517 0.4026 0.3634
0.0932 0.5779 0.3041
0.0937 0.5673 0.9708
0.3717 0.6283 0.2500
0.4221 0.9068 0.1959
0.4327 0.9063 0.5292
0.5673 0.0937 0.4708
0.5779 0.0932 0.8041
0.6283 0.3717 0.7500
0.9063 0.4327 0.0292
0.9068 0.4221 0.6959
```

***

Calculated powder X-ray diffraction pattern of LaDy3Ho6 for copper Kα, from a DFT-relaxed cell (GGA-PBE, Alexandria).
Kinematic intensities with the Lorentz-polarization factor, no thermal factor.

Peak list (10 most intense, 2θ from 10° to 90°, low angle first)
Position (°2θ)  I/Imax
28.55  45
28.75  62
30.18  51
31.42  100
32.03  100
33.23  36
34.56  33
35.68  32
59.07  19
61.13  19

Structural model:
```
LaDy3Ho6
1.0
5.3739 -9.6033 0.0000
5.3739 9.6033 0.0000
0.0000 0.0000 6.2332
La Dy Ho
2 6 12
Direct
0.2104 0.7896 0.5000
0.7896 0.2104 0.0000
0.0771 0.2911 0.2511
0.2911 0.0771 0.7511
0.3869 0.6131 0.3973
0.6131 0.3869 0.8973
0.7089 0.9229 0.2511
0.9229 0.7089 0.7511
0.0153 0.4391 0.6559
0.0488 0.9512 0.2113
0.2843 0.3744 0.7982
0.3108 0.6892 0.9326
0.3744 0.2843 0.2982
0.4391 0.0153 0.1559
0.5609 0.9847 0.6559
0.6256 0.7157 0.7982
0.6892 0.3108 0.4326
0.7157 0.6256 0.2982
0.9512 0.0488 0.7113
0.9847 0.5609 0.1559
```

***

Calculated powder X-ray diffraction pattern of La2Dy2Ho15 for copper Kα, from a DFT-relaxed cell (GGA-PBE, Alexandria).
Kinematic intensities with the Lorentz-polarization factor, no thermal factor.

Peak list (10 most intense, 2θ from 10° to 90°, low angle first)
Position (°2θ)  I/Imax
27.46  33
27.62  31
30.64  39
31.52  45
31.67  100
32.00  55
35.60  84
55.11  25
56.71  26
57.03  33

Structural model:
```
La2Dy2Ho15
1.0
5.5933 3.2293 5.8366
-5.5933 3.2293 5.8366
0.0000 -6.4586 5.8366
La Dy Ho
2 2 15
Direct
0.1182 0.1182 0.1182
0.8818 0.8818 0.8818
0.3308 0.3308 0.3308
0.6692 0.6692 0.6692
0.0000 0.0000 0.5000
0.0000 0.3054 0.6946
0.0000 0.5000 0.0000
0.0000 0.6946 0.3054
0.1546 0.6307 0.6307
0.3054 0.0000 0.6946
0.3054 0.6946 0.0000
0.3693 0.3693 0.8454
0.3693 0.8454 0.3693
0.5000 0.0000 0.0000
0.6307 0.1546 0.6307
0.6307 0.6307 0.1546
0.6946 0.0000 0.3054
0.6946 0.3054 0.0000
0.8454 0.3693 0.3693
```

***

Calculated powder X-ray diffraction pattern of La2DyHo4 for copper Kα, from a DFT-relaxed cell (GGA-PBE, Alexandria).
Kinematic intensities with the Lorentz-polarization factor, no thermal factor.

Peak list (10 most intense, 2θ from 10° to 90°, low angle first)
Position (°2θ)  I/Imax
29.86  36
31.12  100
31.21  48
32.45  45
32.80  45
33.07  11
41.38  12
51.46  13
58.38  11
61.38  22

Structural model:
```
La2DyHo4
1.0
7.1035 0.0000 0.0000
-1.7570 8.4414 0.0000
-1.7893 -4.0903 7.6858
La Dy Ho
4 2 8
Direct
0.0000 0.0000 0.0000
0.0887 0.5351 0.8420
0.3183 0.6967 0.5668
0.4959 0.9849 0.0025
0.6715 0.2754 0.4265
0.7924 0.8713 0.2972
0.1755 0.2749 0.4303
0.2034 0.1049 0.7044
0.2889 0.8718 0.2929
0.4020 0.4355 0.1621
0.5922 0.5315 0.8357
0.7009 0.1079 0.7034
0.8160 0.6976 0.5693
0.8956 0.4341 0.1649
```

***

Calculated powder X-ray diffraction pattern of LaDy5Ho5 for copper Kα, from a DFT-relaxed cell (GGA-PBE, Alexandria).
Kinematic intensities with the Lorentz-polarization factor, no thermal factor.

Peak list (10 most intense, 2θ from 10° to 90°, low angle first)
Position (°2θ)  I/Imax
28.71  100
29.39  85
30.41  26
33.31  25
34.96  39
35.43  36
37.55  26
37.69  22
51.71  39
60.97  28

Structural model:
```
LaDy5Ho5
1.0
6.0781 0.0000 0.0000
-3.0391 5.2638 0.0000
0.0000 0.0000 11.5620
La Dy Ho
1 5 5
Direct
0.0000 0.0000 0.0000
0.0000 0.0000 0.3296
0.0000 0.0000 0.6704
0.3333 0.6667 0.1593
0.3333 0.6667 0.8407
0.6667 0.3333 0.0000
0.0010 0.5005 0.5000
0.4995 0.5005 0.5000
0.4995 0.9990 0.5000
0.6667 0.3333 0.2646
0.6667 0.3333 0.7354
```

***

Calculated powder X-ray diffraction pattern of La2Nd2DyHo2 for copper Kα, from a DFT-relaxed cell (GGA-PBE, Alexandria).
Kinematic intensities with the Lorentz-polarization factor, no thermal factor.

Peak list (10 most intense, 2θ from 10° to 90°, low angle first)
Position (°2θ)  I/Imax
30.08  100
34.76  17
34.87  17
34.97  17
50.04  18
50.23  18
59.36  7
59.57  22
59.64  7
59.81  7

Structural model:
```
La2Nd2DyHo2
1.0
11.4658 0.0000 0.0000
0.0000 5.1459 0.0000
-1.1627 0.0000 8.0844
La Nd Dy Ho
4 4 2 4
Direct
0.1419 0.0000 0.4252
0.3581 0.5000 0.5748
0.6419 0.5000 0.4252
0.8581 0.0000 0.5748
0.2146 0.5000 0.1401
0.2854 0.0000 0.8599
0.7146 0.0000 0.1401
0.7854 0.5000 0.8599
0.0000 0.0000 0.0000
0.5000 0.5000 0.0000
0.0705 0.5000 0.7161
0.4295 0.0000 0.2839
0.5705 0.0000 0.7161
0.9295 0.5000 0.2839
```

***

Calculated powder X-ray diffraction pattern of La2Pm4DyHo2 for copper Kα, from a DFT-relaxed cell (GGA-PBE, Alexandria).
Kinematic intensities with the Lorentz-polarization factor, no thermal factor.

Peak list (10 most intense, 2θ from 10° to 90°, low angle first)
Position (°2θ)  I/Imax
28.34  36
28.95  17
30.61  51
31.31  100
32.98  90
49.84  26
53.75  21
56.99  20
59.48  15
59.63  31

Structural model:
```
La2Pm4DyHo2
1.0
9.4977 -1.8353 0.0000
9.4977 1.8353 0.0000
-4.2208 0.0000 8.7632
La Pm Dy Ho
2 4 1 2
Direct
0.1656 0.1656 0.4980
0.8344 0.8344 0.5020
0.0189 0.0189 0.8358
0.3140 0.3140 0.1653
0.6860 0.6860 0.8347
0.9811 0.9811 0.1642
0.5000 0.5000 0.5000
0.3525 0.3525 0.8351
0.6475 0.6475 0.1649
```

***

Calculated powder X-ray diffraction pattern of LaPm2Dy4Ho for copper Kα, from a DFT-relaxed cell (GGA-PBE, Alexandria).
Kinematic intensities with the Lorentz-polarization factor, no thermal factor.

Peak list (10 most intense, 2θ from 10° to 90°, low angle first)
Position (°2θ)  I/Imax
30.48  100
35.23  34
35.57  17
50.67  12
50.93  24
60.30  29
60.75  14
63.44  12
82.97  12
85.95  5

Structural model:
```
LaPm2Dy4Ho
1.0
7.2023 0.0000 0.0000
0.0000 10.0967 0.0000
-0.0057 0.0000 7.2092
La Pm Dy Ho
2 4 8 2
Direct
0.0000 0.0000 0.0000
0.0000 0.0000 0.5000
0.0000 0.5000 0.0000
0.5000 0.0000 0.0000
0.5000 0.5000 0.0000
0.5000 0.5000 0.5000
0.2514 0.2518 0.2522
0.2515 0.2518 0.7484
0.2514 0.7482 0.2522
0.2515 0.7482 0.7484
0.7485 0.2518 0.2516
0.7486 0.2518 0.7478
0.7485 0.7482 0.2516
0.7486 0.7482 0.7478
0.0000 0.5000 0.5000
0.5000 0.0000 0.5000
```

***

Calculated powder X-ray diffraction pattern of La2PmDyHo4 for copper Kα, from a DFT-relaxed cell (GGA-PBE, Alexandria).
Kinematic intensities with the Lorentz-polarization factor, no thermal factor.

Peak list (10 most intense, 2θ from 10° to 90°, low angle first)
Position (°2θ)  I/Imax
26.84  68
30.06  51
30.23  100
40.73  44
40.86  88
53.49  20
60.84  27
61.14  14
64.30  34
69.62  18

Structural model:
```
La2PmDyHo4
1.0
-3.4072 5.9459 6.6442
3.4072 -5.9459 6.6442
3.4072 5.9459 -6.6442
La Pm Dy Ho
4 2 2 8
Direct
0.0000 0.0000 0.0000
0.5000 0.0000 0.0000
0.5000 0.0000 0.5000
0.5000 0.5000 0.5000
0.0000 0.5000 0.5000
0.5000 0.5000 0.0000
0.0000 0.0000 0.5000
0.0000 0.5000 0.0000
0.2459 0.2474 0.5016
0.2455 0.2500 0.9956
0.2459 0.7443 0.9984
0.2456 0.7500 0.4956
0.7544 0.2500 0.5044
0.7541 0.2557 0.0016
0.7545 0.7500 0.0044
0.7541 0.7526 0.4984
```

***

Calculated powder X-ray diffraction pattern of La2PmDy4Ho for copper Kα, from a DFT-relaxed cell (GGA-PBE, Alexandria).
Kinematic intensities with the Lorentz-polarization factor, no thermal factor.

Peak list (10 most intense, 2θ from 10° to 90°, low angle first)
Position (°2θ)  I/Imax
26.79  68
30.03  50
30.18  100
40.67  44
40.79  88
53.42  20
60.75  27
61.00  14
64.18  34
69.48  18

Structural model:
```
La2PmDy4Ho
1.0
6.8612 -6.6552 0.0000
6.8612 6.6552 0.0000
-3.3975 0.0000 5.9228
La Pm Dy Ho
4 2 8 2
Direct
0.0000 0.0000 0.0000
0.0000 0.0000 0.5000
0.0000 0.5000 0.0000
0.5000 0.0000 0.5000
0.0000 0.5000 0.5000
0.5000 0.0000 0.0000
0.2545 0.7441 0.5008
0.2550 0.2551 0.0037
0.2551 0.2550 0.5037
0.2559 0.7455 0.9992
0.7441 0.2545 0.0008
0.7449 0.7450 0.4963
0.7450 0.7449 0.9963
0.7455 0.2559 0.4992
0.5000 0.5000 0.0000
0.5000 0.5000 0.5000
```